Structure and computed XRD peak list of CoBiF6 (a DFT-relaxed cell (GGA+U, Alexandria); a wavelength of 1.5418 Å).
Neutral-atom scattering factors, no anomalous dispersion.

Structure:
```
CoBiF6
1.0
5.294 0.000 0.000
-2.647 4.585 0.000
0.000 0.000 9.904
Co Bi F
2 2 12
direct
0.333 0.667 0.250 Co
0.667 0.333 0.750 Co
0.000 0.000 0.000 Bi
0.000 0.000 0.500 Bi
0.039 0.367 0.135 F
0.039 0.672 0.365 F
0.328 0.367 0.365 F
0.328 0.961 0.135 F
0.367 0.039 0.635 F
0.367 0.328 0.865 F
0.633 0.672 0.135 F
0.633 0.961 0.365 F
0.672 0.039 0.865 F
0.672 0.633 0.635 F
0.961 0.328 0.635 F
0.961 0.633 0.865 F
```

Most intense lines, 2θ = 5–70°, by angle:
(hkl)	2theta	d [Å]	I (rel.)
1 0 0	19.36	4.585	51
1 0 2	26.49	3.364	100
2 -1 2	38.57	2.334	21
2 0 2	43.50	2.080	27
1 1 4	50.47	1.808	31
2 1 2	56.24	1.636	25